No. 1
Structure and simulated powder X-ray diffraction pattern of La5Pr6Dy2 (a cell relaxed with PBE; Cu Kα).
Intensities are scaled so that the largest is 100.

Top 10 peaks for 2θ from 10° to 80°, most intense first:
two_theta	Rel. int.
30.33	100
31.10	90
30.19	53
35.45	39
58.92	31
33.08	29
49.30	26
30.72	15
26.18	14
33.81	14

```
26
Lattice="11.956 0.000 0.000 0.000 21.303 0.000 0.000 0.000 3.698" Properties=species:S:1:pos:R:3 pbc="T T T"
La 0.000 0.000 0.000
La 1.010 5.774 0.000
La 2.359 11.746 0.000
La 3.618 1.094 0.000
La 4.968 16.426 0.000
La 5.978 10.652 0.000
La 6.988 4.878 0.000
La 8.337 20.210 0.000
La 9.596 9.558 0.000
La 10.946 15.529 0.000
Pr 0.735 8.897 1.849
Pr 1.016 2.771 1.849
Pr 2.083 18.302 0.000
Pr 3.895 7.650 0.000
Pr 4.962 13.423 1.849
Pr 5.243 19.549 1.849
Pr 6.712 1.755 1.849
Pr 6.993 7.880 1.849
Pr 8.061 13.653 0.000
Pr 9.873 3.002 0.000
Pr 10.940 18.532 1.849
Pr 11.221 12.406 1.849
Dy 2.030 15.101 1.849
Dy 3.947 4.449 1.849
Dy 8.008 16.854 1.849
Dy 9.925 6.202 1.849
```

=====

No. 2
Structure and simulated powder X-ray diffraction pattern of La8Pr4Dy (a cell relaxed with PBE; Cu Kα).
Intensities are scaled so that the largest is 100.

Top 10 peaks for 2θ from 10° to 80°, most intense first:
two_theta	Rel. int.
29.90	100
37.56	44
22.21	29
53.08	20
26.80	19
55.24	18
62.12	12
58.22	12
34.31	10
66.81	10

```
13
Lattice="5.977 3.451 4.003 -5.977 3.451 4.003 0.000 -6.902 4.003" Properties=species:S:1:pos:R:3 pbc="T T T"
La 0.000 -3.472 4.045
La -3.007 1.736 4.045
La 0.000 0.000 2.863
La -3.007 -1.736 7.964
La 3.007 1.736 4.045
La 0.000 0.000 9.146
La 3.007 -1.736 7.964
La 0.000 3.472 7.964
Pr 0.000 0.000 0.000
Pr -2.989 -1.725 4.003
Pr -2.989 1.725 8.006
Pr 0.000 3.451 4.003
Dy 0.000 0.000 6.005
```

=====

No. 3
Structure and simulated powder X-ray diffraction pattern of La4Pr3Dy5 (a cell relaxed with PBE; Cu Kα).
Intensities are scaled so that the largest is 100.

Top 10 peaks for 2θ from 10° to 80°, most intense first:
two_theta	Rel. int.
29.34	100
31.87	65
32.82	64
31.17	60
30.62	40
58.77	38
42.92	34
28.84	29
32.07	29
28.18	26

```
12
Lattice="8.190 -3.044 0.000 8.190 3.044 0.000 -4.273 0.000 8.511" Properties=species:S:1:pos:R:3 pbc="T T T"
La -0.499 0.000 3.792
La -0.326 0.000 7.525
La 12.434 0.000 0.985
La 12.607 0.000 4.719
Pr 2.476 0.000 1.987
Pr 8.190 0.000 0.000
Pr 9.632 0.000 6.524
Dy 0.000 0.000 0.000
Dy 2.768 0.000 5.234
Dy 5.751 0.000 2.573
Dy 6.357 0.000 5.938
Dy 9.340 0.000 3.277
```

=====

No. 4
Structure and simulated powder X-ray diffraction pattern of La2Pr5Dy5 (a cell relaxed with PBE; Cu Kα).
Intensities are scaled so that the largest is 100.

Top 10 peaks for 2θ from 10° to 80°, most intense first:
two_theta	Rel. int.
29.98	100
49.95	18
34.60	17
34.74	17
34.91	17
59.17	15
59.35	14
59.58	14
50.07	12
62.24	6

```
12
Lattice="7.777 -2.570 0.000 7.777 2.570 0.000 -5.211 0.000 10.329" Properties=species:S:1:pos:R:3 pbc="T T T"
La -0.026 0.000 2.598
La 10.368 0.000 7.732
Pr -2.605 0.000 5.165
Pr -2.635 0.000 10.323
Pr -0.036 0.000 7.717
Pr 10.379 0.000 2.613
Pr 12.977 0.000 0.006
Dy 2.582 0.000 5.157
Dy 5.173 0.000 2.593
Dy 7.777 0.000 0.000
Dy 5.170 0.000 7.736
Dy 7.761 0.000 5.172
```